Simulated powder diffractogram of Ca4Co3Si8NiO24 for CuKα, from the GGA+U geometry in Alexandria.
Lines closer than 0.1° are merged.

Peak list (6 most intense, 2θ from 10° to 80°, low angle first)
d/Å, 2θ/deg, I_rel
6.548, 13.5, 48
3.043, 29.3, 76
3.021, 29.6, 75
2.999, 29.8, 31
2.550, 35.2, 100
2.539, 35.4, 34

Cell and atoms:
Lattice parameters (Å, degrees): 5.313 6.674 13.400 90.73 100.84 101.78
Atoms (fractional coordinates):
Ca  0.000  0.000  0.000
Ca  0.203  0.407  0.704
Ca  0.498  0.004  0.499
Ca  0.707  0.409  0.205
Co  0.306  0.612  0.305
Co  0.400  0.796  0.898
Co  0.804  0.611  0.805
Si  0.062  0.511  0.041
Si  0.141  0.899  0.661
Si  0.235  0.085  0.255
Si  0.469  0.324  0.950
Si  0.561  0.512  0.542
Si  0.646  0.900  0.163
Si  0.731  0.083  0.755
Si  0.968  0.326  0.450
Ni  0.897  0.798  0.398
O  0.065  0.678  0.954
O  0.088  0.593  0.157
O  0.117  0.820  0.545
O  0.141  0.731  0.747
O  0.229  0.910  0.338
O  0.271  0.338  0.518
O  0.286  0.368  0.035
O  0.340  0.091  0.908
O  0.369  0.316  0.297
O  0.417  0.038  0.169
O  0.430  0.073  0.685
O  0.467  0.503  0.868
O  0.563  0.679  0.455
O  0.583  0.593  0.657
O  0.622  0.816  0.048
O  0.649  0.735  0.251
O  0.728  0.908  0.838
O  0.771  0.339  0.018
O  0.788  0.372  0.536
O  0.836  0.094  0.408
O  0.865  0.314  0.797
O  0.914  0.038  0.669
O  0.934  0.076  0.186
O  0.970  0.502  0.367